La4Co2Rh: simulated powder diffraction line list (copper Kα), based on a DFT-relaxed cell (GGA-PBE, Alexandria).
No peak broadening, texture or thermal motion is included.

Top 10 peaks for 10 to 80 degrees two-theta, sorted by position:
- 2θ = 28.4°, I 12
- 2θ = 28.6°, I 35
- 2θ = 31.8°, I 100
- 2θ = 32.4°, I 52
- 2θ = 37.9°, I 30
- 2θ = 38.0°, I 28
- 2θ = 38.3°, I 14
- 2θ = 52.4°, I 21
- 2θ = 52.8°, I 16
- 2θ = 53.1°, I 17

Crystal structure
a b c (Å): 7.6606 7.6606 7.6606
angles (deg): 110.54 108.94 108.94
Positions (direct):
La 0.0044 0.8954 0.5069
La 0.1115 0.1091 0.1046
La 0.3885 0.4931 0.9975
La 0.4956 0.0025 0.8911
La 0.5045 0.0069 0.3954
La 0.6115 0.6046 0.6089
La 0.8885 0.4975 0.9931
La 0.9955 0.3909 0.5025
Co 0.1195 0.7500 0.8695
Co 0.3805 0.2500 0.6305
Co 0.6219 0.3719 0.2500
Co 0.8781 0.1281 0.7500
Rh 0.2500 0.6253 0.3753
Rh 0.7500 0.8747 0.1247

=====

SrMgGa4Ag2: simulated powder diffraction line list (copper Kα), based on a DFT-relaxed cell (GGA-PBE, Alexandria).
No peak broadening, texture or thermal motion is included.

Top 10 peaks for 10 to 80 degrees two-theta, sorted by position:
- 2θ = 18.3°, I 22
- 2θ = 27.4°, I 36
- 2θ = 27.6°, I 19
- 2θ = 33.6°, I 63
- 2θ = 38.5°, I 19
- 2θ = 39.7°, I 100
- 2θ = 41.2°, I 26
- 2θ = 49.1°, I 22
- 2θ = 53.0°, I 17
- 2θ = 72.0°, I 16

Crystal structure
a b c (Å): 10.0335 10.0335 10.0335
angles (deg): 26.16 26.16 26.16
Positions (direct):
Sr 0.0000 0.0000 0.0000
Mg 0.5000 0.5000 0.5000
Ga 0.1194 0.1194 0.1194
Ga 0.4010 0.4010 0.4010
Ga 0.5990 0.5990 0.5990
Ga 0.8806 0.8806 0.8806
Ag 0.2284 0.2284 0.2284
Ag 0.7716 0.7716 0.7716

=====

Ta2ZnAs: simulated powder diffraction line list (copper Kα), based on a DFT-relaxed cell (GGA-PBE, Alexandria).
No peak broadening, texture or thermal motion is included.

Top 10 peaks for 10 to 80 degrees two-theta, sorted by position:
- 2θ = 29.9°, I 26
- 2θ = 35.9°, I 100
- 2θ = 36.8°, I 20
- 2θ = 37.5°, I 41
- 2θ = 44.1°, I 27
- 2θ = 44.7°, I 24
- 2θ = 48.1°, I 21
- 2θ = 51.4°, I 17
- 2θ = 62.5°, I 19
- 2θ = 70.1°, I 14

Crystal structure
a b c (Å): 3.5531 3.7814 5.1967
angles (deg): 90.00 109.92 90.00
Positions (direct):
Ta 0.0000 0.0000 0.0000
Ta 0.3090 0.5000 0.6107
Zn 0.5670 0.5000 0.1370
As 0.7375 0.0000 0.4623